The following is a computed powder diffractogram of LaDy2Er5. It was derived from DFT lattice parameters and positions (PBE), using λ = 1.5418 Å (Cu Kα).
Lines closer than 0.1° are merged.

Cell and atoms:
```
data_LaDy2Er5
_cell_length_a 9.996
_cell_length_b 14.186
_cell_length_c 7.102
_cell_angle_alpha 90.00
_cell_angle_beta 90.00
_cell_angle_gamma 90.00
_symmetry_space_group_name_H-M 'P b a m'
_symmetry_Int_Tables_number 55
_symmetry_space_group_name_Hall '-P 2 2ab'
loop_
_atom_site_label
_atom_site_fract_x
_atom_site_fract_y
_atom_site_fract_z
La1 0.249 0.125 0.000
Dy1 0.000 0.500 0.253
Dy2 0.249 0.125 0.500
Er1 0.000 0.000 0.253
Er2 0.000 0.250 0.253
Er3 0.249 0.875 0.500
Er4 0.250 0.375 0.000
```

Principal peaks in the range 10° ≤ 2θ ≤ 80°, low angle first:
2θ/deg	intensity	h k l
30.90	100.0	2 4 0
35.78	33.9	0 4 2
35.94	16.7	4 0 0
51.50	12.1	0 8 0
51.62	24.0	4 4 2
61.28	28.6	2 8 2
61.49	14.2	6 4 0
64.40	12.3	4 8 0
75.82	3.8	0 8 4
76.20	1.9	8 0 0



The following is a computed powder diffractogram of V5Ga5N. It was derived from DFT lattice parameters and positions (PBE), using λ = 1.5418 Å (Cu Kα).
Lines closer than 0.1° are merged.

Cell and atoms:
```
data_V5Ga5N
_cell_length_a 9.217
_cell_length_b 4.136
_cell_length_c 8.314
_cell_angle_alpha 90.00
_cell_angle_beta 98.21
_cell_angle_gamma 90.00
_symmetry_space_group_name_H-M 'C 1 2/m 1'
_symmetry_Int_Tables_number 12
_symmetry_space_group_name_Hall '-C 2y'
loop_
_atom_site_label
_atom_site_fract_x
_atom_site_fract_y
_atom_site_fract_z
V1 0.000 0.000 0.000
V2 0.091 0.500 0.223
V3 0.199 0.500 0.928
Ga1 0.000 0.500 0.500
Ga2 0.123 0.000 0.742
Ga3 0.189 0.000 0.378
N1 0.000 0.500 0.000
```

Principal peaks in the range 10° ≤ 2θ ≤ 80°, low angle first:
2θ/deg	intensity	h k l
31.25	19.6	1 1 -2
39.48	94.1	1 1 -3
39.57	100.0	3 1 1
42.49	48.0	4 0 -2
43.78	46.8	0 2 0
51.25	14.5	2 0 4
62.65	30.0	4 2 -2
69.64	13.9	2 2 4
75.67	12.4	5 1 -5
75.82	13.8	7 1 -1



The following is a computed powder diffractogram of Er3P2Rh9Pb. It was derived from DFT lattice parameters and positions (PBE), using λ = 1.5418 Å (Cu Kα).
Lines closer than 0.1° are merged.

Cell and atoms:
```
data_Er3P2Rh9Pb
_cell_length_a 6.0392
_cell_length_b 6.0392
_cell_length_c 9.4972
_cell_angle_alpha 90.00
_cell_angle_beta 90.00
_cell_angle_gamma 120.00
_symmetry_space_group_name_H-M 'P -3 m 1'
_symmetry_Int_Tables_number 164
_symmetry_space_group_name_Hall '-P 3 2"'
loop_
_atom_site_label
_atom_site_fract_x
_atom_site_fract_y
_atom_site_fract_z
Er1 0.0000 0.0000 0.0000
Er2 0.3333 0.6667 0.7433
P1 0.3333 0.6667 0.1571
Rh1 0.0000 0.5000 0.0000
Rh2 0.1494 0.2988 0.2615
Pb1 0.0000 0.0000 0.5000
```

Principal peaks in the range 10° ≤ 2θ ≤ 80°, low angle first:
2θ/deg	intensity	h k l
16.95	18.5	1 0 0
35.61	64.3	0 2 1
37.89	33.7	0 0 4
39.33	100.0	2 0 2
44.96	34.6	2 0 3
49.98	18.1	1 2 2
60.22	17.3	0 2 5
61.41	25.8	2 2 0
69.40	17.2	2 0 6
74.47	24.8	2 2 4



The following is a computed powder diffractogram of TbCeSe2Cl. It was derived from DFT lattice parameters and positions (PBE), using λ = 1.5418 Å (Cu Kα).
Lines closer than 0.1° are merged.

Cell and atoms:
```
data_TbCeSe2Cl
_cell_length_a 4.205
_cell_length_b 4.205
_cell_length_c 14.071
_cell_angle_alpha 90.00
_cell_angle_beta 90.00
_cell_angle_gamma 90.00
_symmetry_space_group_name_H-M 'P 4/n m m'
_symmetry_Int_Tables_number 129
loop_
_symmetry_equiv_pos_as_xyz
'x,y,z'
'-x,-y,-z'
'-y+1/2,x,z'
'y+1/2,-x,-z'
'-x+1/2,-y+1/2,z'
'x+1/2,y+1/2,-z'
'y,-x+1/2,z'
'-y,x+1/2,-z'
'x+1/2,-y,-z'
'-x+1/2,y,z'
'-y,-x,-z'
'y,x,z'
'-x,y+1/2,-z'
'x,-y+1/2,z'
'y+1/2,x+1/2,-z'
'-y+1/2,-x+1/2,z'
loop_
_atom_site_label
_atom_site_fract_x
_atom_site_fract_y
_atom_site_fract_z
Tb1 0.250 0.250 0.094
Ce1 0.250 0.250 0.648
Se1 0.250 0.250 0.297
Se2 0.250 0.250 0.886
Cl1 0.250 0.750 0.500
```

Principal peaks in the range 10° ≤ 2θ ≤ 80°, low angle first:
2θ/deg	intensity	h k l
24.67	45.1	1 0 2
25.32	24.9	0 0 4
30.06	100.0	1 1 0
31.80	27.0	0 0 5
38.49	25.5	1 0 5
39.69	51.5	1 1 4
43.02	51.0	2 0 0
44.29	36.8	1 1 5
54.48	22.7	2 0 5
79.77	27.0	2 1 9



The following is a computed powder diffractogram of Li4HoEr. It was derived from DFT lattice parameters and positions (PBE), using λ = 1.5418 Å (Cu Kα).
Lines closer than 0.1° are merged.

Cell and atoms:
```
data_Li4HoEr
_cell_length_a 8.214
_cell_length_b 8.214
_cell_length_c 8.214
_cell_angle_alpha 90.00
_cell_angle_beta 90.00
_cell_angle_gamma 90.00
_symmetry_space_group_name_H-M 'F -4 3 m'
_symmetry_Int_Tables_number 216
_symmetry_space_group_name_Hall 'F -4 2 3'
loop_
_atom_site_label
_atom_site_fract_x
_atom_site_fract_y
_atom_site_fract_z
Li1 0.125 0.125 0.125
Ho1 0.000 0.000 0.500
Er1 0.250 0.250 0.750
```

Principal peaks in the range 10° ≤ 2θ ≤ 80°, low angle first:
2θ/deg	intensity	h k l
18.71	100.0	1 1 1
30.79	98.0	2 2 0
36.27	69.1	3 1 1
44.10	16.2	4 0 0
48.29	25.9	3 3 1
54.74	39.1	4 2 2
58.37	23.5	5 1 1
64.13	13.7	4 4 0
67.45	19.1	5 3 1
72.82	16.8	6 2 0



The following is a computed powder diffractogram of RbPaCrS4. It was derived from DFT lattice parameters and positions (PBE), using λ = 1.5418 Å (Cu Kα).
Lines closer than 0.1° are merged.

Cell and atoms:
```
data_RbPaCrS4
_cell_length_a 8.705
_cell_length_b 8.908
_cell_length_c 9.542
_cell_angle_alpha 90.00
_cell_angle_beta 90.00
_cell_angle_gamma 90.00
_symmetry_space_group_name_H-M 'I m m a'
_symmetry_Int_Tables_number 74
_symmetry_space_group_name_Hall '-I 2b 2'
loop_
_atom_site_label
_atom_site_fract_x
_atom_site_fract_y
_atom_site_fract_z
Rb1 0.000 0.250 0.150
Pa1 0.250 0.250 0.750
Cr1 0.000 0.000 0.500
S1 0.000 0.066 0.752
S2 0.180 0.250 0.486
```

Principal peaks in the range 10° ≤ 2θ ≤ 80°, low angle first:
2θ/deg	intensity	h k l
13.60	87.0	0 1 1
18.60	26.7	0 0 2
19.93	46.7	0 2 0
24.60	100.0	2 1 1
27.39	20.4	0 2 2
28.68	39.3	2 2 0
29.85	52.2	0 1 3
37.87	59.4	2 3 1
48.05	44.1	2 2 4
65.94	28.7	4 1 5